(1)
Calculated XRD peak list
Compound: YAl2Co
Radiation: copper Kα
Structure: a DFT-relaxed cell (PBE, the Materials Project)

Cell and atoms:
```
8
Lattice="2.0156 -5.0438 0.0000 2.0156 5.0438 0.0000 0.0000 0.0000 7.0211" Properties=species:S:1:pos:R:3 pbc="T T T"
Y 2.0156 4.4460 5.2658
Y 2.0156 -4.4460 1.7553
Al 2.0156 1.6320 3.9067
Al 2.0156 1.6320 6.6249
Al 2.0156 -1.6320 0.3961
Al 2.0156 -1.6320 3.1144
Co 2.0156 2.8574 1.7553
Co 2.0156 -2.8574 5.2658
```

The 12 most intense peaks (10° ≤ 2θ ≤ 80°), in order of falling intensity:
2θ (°)	d (Å)	Rel. int.
37.10	2.423	100
35.04	2.561	93
37.91	2.373	60
25.37	3.511	48
23.77	3.743	43
44.98	2.016	34
52.79	1.734	32
60.24	1.536	29
52.34	1.748	15
45.72	1.984	14
52.11	1.755	13
69.24	1.357	13

(2)
Calculated XRD peak list
Compound: CaMg6ZnO8
Radiation: copper Kα
Structure: a DFT-relaxed cell (PBE, the Materials Project)

Cell and atoms:
```
16
Lattice="4.3767 0.0000 0.0000 0.0000 4.3767 0.0000 0.0000 0.0000 8.6552" Properties=species:S:1:pos:R:3 pbc="T T T"
Ca 0.0000 0.0000 0.0000
Mg 0.0000 0.0000 4.3276
Mg 0.0000 2.1883 2.2141
Mg 0.0000 2.1883 6.4410
Mg 2.1883 0.0000 2.2141
Mg 2.1883 0.0000 6.4410
Mg 2.1883 2.1883 4.3276
Zn 2.1883 2.1883 0.0000
O 0.0000 0.0000 2.2879
O 0.0000 0.0000 6.3672
O 0.0000 2.1883 0.0000
O 0.0000 2.1883 4.3276
O 2.1883 0.0000 0.0000
O 2.1883 0.0000 4.3276
O 2.1883 2.1883 2.1902
O 2.1883 2.1883 6.4650
```

The 12 most intense peaks (10° ≤ 2θ ≤ 80°), in order of falling intensity:
2θ (°)	d (Å)	Rel. int.
41.25	2.188	100
60.14	1.539	55
41.74	2.164	47
35.67	2.517	36
59.76	1.547	29
10.22	8.655	27
75.54	1.259	25
71.58	1.318	12
30.68	2.914	11
20.52	4.328	8
28.85	3.095	7
72.26	1.307	6

(3)
Calculated XRD peak list
Compound: CsO2
Radiation: copper Kα
Structure: a DFT-relaxed cell (PBE, the Materials Project)

Cell and atoms:
```
3
Lattice="-2.2308 2.2308 3.6857 2.2308 -2.2308 3.6857 2.2308 2.2308 -3.6857" Properties=species:S:1:pos:R:3 pbc="T T T"
Cs 0.0000 0.0000 0.0000
O 0.0000 0.0000 3.0102
O 0.0000 0.0000 4.3612
```

The 12 most intense peaks (10° ≤ 2θ ≤ 80°), in order of falling intensity:
2θ (°)	d (Å)	Rel. int.
23.30	3.817	100
28.29	3.155	84
37.53	2.397	59
24.15	3.686	48
41.98	2.152	38
47.19	1.926	32
40.43	2.231	31
47.65	1.908	29
59.70	1.549	26
71.62	1.318	17
66.24	1.411	13
66.83	1.400	13

(4)
Calculated XRD peak list
Compound: NbRu3
Radiation: copper Kα
Structure: a DFT-relaxed cell (PBE, the Materials Project)

Cell and atoms:
```
4
Lattice="3.9093 0.0000 0.0000 0.0000 3.9093 0.0000 0.0000 0.0000 3.9093" Properties=species:S:1:pos:R:3 pbc="T T T"
Nb 0.0000 0.0000 0.0000
Ru 0.0000 1.9546 1.9546
Ru 1.9546 0.0000 1.9546
Ru 1.9546 1.9546 0.0000
```

The 3 most intense peaks (10° ≤ 2θ ≤ 80°), in order of falling intensity:
2θ (°)	d (Å)	Rel. int.
39.94	2.257	100
46.46	1.955	48
67.80	1.382	30

(5)
Calculated XRD peak list
Compound: Cs7NbIn3As5
Radiation: copper Kα
Structure: a DFT-relaxed cell (PBE, the Materials Project)

Cell and atoms:
```
32
Lattice="8.9686 0.0000 0.0000 0.6009 9.8522 0.0000 1.1053 1.1098 14.9381" Properties=species:S:1:pos:R:3 pbc="T T T"
Cs 2.1109 1.6720 5.3902
Cs 3.0736 7.7089 13.0431
Cs 3.0021 5.5178 6.9737
Cs 2.9238 9.8450 0.3998
Cs 3.1445 7.7020 3.7762
Cs 3.9041 8.9010 8.9927
Cs 3.1340 4.2700 1.7072
Cs 7.5408 6.6921 13.2310
Cs 6.7707 2.0611 5.9455
Cs 7.5303 3.2601 11.1620
Cs 7.7510 1.1171 14.5383
Cs 7.6727 5.4443 7.9644
Cs 7.6012 3.2532 1.8950
Cs 8.5639 9.2901 9.5479
Nb 4.0883 1.8883 11.5328
Nb 6.5865 9.0737 3.4053
In 1.7603 4.0095 12.9468
In 1.6682 2.8855 9.3385
In 4.3334 5.1891 10.5274
In 6.3414 5.7730 4.4107
In 9.0066 8.0766 5.5996
In 8.9146 6.9526 1.9914
As 1.4513 5.6126 10.4882
As 1.6556 1.3492 11.7666
As 4.5853 3.8790 13.0718
As 4.4858 2.6666 9.1333
As 4.6535 1.1837 2.8692
As 6.0213 9.7783 12.0689
As 6.1890 8.2955 5.8049
As 6.0895 7.0831 1.8663
As 9.0193 9.6128 3.1715
As 9.2235 5.3495 4.4500
```

The 12 most intense peaks (10° ≤ 2θ ≤ 80°), in order of falling intensity:
2θ (°)	d (Å)	Rel. int.
28.34	3.149	100
28.23	3.161	75
27.66	3.225	73
30.62	2.919	54
23.90	3.724	53
30.27	2.953	50
29.29	3.049	50
11.86	7.459	49
30.90	2.894	47
10.40	8.503	46
25.60	3.479	44
27.32	3.265	34

(6)
Calculated XRD peak list
Compound: NaYZnS3O12
Radiation: copper Kα
Structure: a DFT-relaxed cell (PBE, the Materials Project)

Cell and atoms:
```
36
Lattice="4.4771 2.5848 7.8821 -4.4771 2.5848 7.8821 0.0000 -5.1697 7.8821" Properties=species:S:1:pos:R:3 pbc="T T T"
Na 0.0000 0.0000 0.0000
Na 0.0000 0.0000 11.8231
Y 0.0000 0.0000 3.6305
Y 0.0000 0.0000 15.4536
Zn 0.0000 0.0000 8.3773
Zn 0.0000 0.0000 20.2004
S -1.8356 -2.5035 10.0103
S -3.2268 0.2566 13.9513
S -1.2503 2.8415 10.0103
S 1.3912 -2.9228 13.9513
S 3.0859 -0.3380 10.0103
S 1.8357 2.6662 13.9513
O -2.6756 -2.3592 11.2208
O -0.9686 -3.7219 10.1074
O -3.8418 -1.0886 13.8075
O -1.8015 0.2256 7.2797
O -3.4555 1.0716 12.7349
O -0.9781 -1.2983 9.8664
O 0.7053 -1.6729 7.2797
O -2.7389 2.6998 10.1074
O 0.7997 -3.5284 12.7349
O -1.7382 0.1149 14.0484
O -0.6353 1.4963 9.8664
O -1.0216 -1.5132 16.6759
O 1.0961 1.4473 7.2797
O 0.7696 -1.5627 14.0484
O 1.6135 -0.1979 9.8664
O -0.7053 3.4968 11.2208
O -0.7997 1.6413 16.6759
O 2.8636 -2.7828 13.8075
O 3.3809 -1.1375 11.2208
O 0.9686 1.4478 14.0484
O 1.8213 -0.1281 16.6759
O 3.7075 1.0221 10.1074
O 0.9781 3.8714 13.8075
O 2.6558 2.4567 12.7349
```

The 12 most intense peaks (10° ≤ 2θ ≤ 80°), in order of falling intensity:
2θ (°)	d (Å)	Rel. int.
22.84	3.893	100
30.21	2.958	82
19.83	4.477	51
18.88	4.701	42
34.70	2.585	35
27.51	3.242	34
46.66	1.946	30
13.66	6.484	25
54.20	1.692	22
49.53	1.840	21
59.44	1.555	15
44.87	2.020	13